# 1
Starting from a PBE-relaxed structure, the PXRD pattern of MnGaHOs was calculated for a wavelength of 1.5418 Å.
Intensities are scaled so that the largest is 100.

```
data_MnGaHOs
_chemical_formula_sum 'Mn1 Ga1 H1 Os1'
_symmetry_space_group_name_H-M 'P 1'
_symmetry_Int_Tables_number 1
_symmetry_space_group_name_Hall 'P 1'
_cell_length_a 2.745
_cell_length_b 2.796
_cell_length_c 5.953
_cell_angle_alpha 90.00
_cell_angle_beta 90.00
_cell_angle_gamma 90.00
loop_
_atom_site_label
_atom_site_type_symbol
_atom_site_fract_x
_atom_site_fract_y
_atom_site_fract_z
Mn1 Mn 0.000 0.000 0.000
Ga1 Ga 0.500 0.500 0.713
H1 H 0.500 0.000 0.447
Os1 Os 0.500 0.500 0.256
```

Largest 10 diffraction maxima, sorted by position, 10 to 90 degrees two-theta:
14.9°, d 5.953, I 100; 30.0°, d 2.976, I 51; 32.0°, d 2.796, I 47; 32.6°, d 2.745, I 46; 35.5°, d 2.531, I 34; 36.0°, d 2.493, I 33; 44.5°, d 2.038, I 89; 44.9°, d 2.018, I 85; 46.3°, d 1.959, I 81; 56.2°, d 1.636, I 37


# 2
Starting from a PBE-relaxed structure, the PXRD pattern of GaMoH2 was calculated for a wavelength of 1.5418 Å.
Intensities are scaled so that the largest is 100.

```
data_GaMoH2
_chemical_formula_sum 'Ga2 Mo2 H4'
_symmetry_space_group_name_H-M 'P 1'
_symmetry_Int_Tables_number 1
_symmetry_space_group_name_Hall 'P 1'
_cell_length_a 8.110
_cell_length_b 8.110
_cell_length_c 3.104
_cell_angle_alpha 90.00
_cell_angle_beta 90.00
_cell_angle_gamma 157.01
loop_
_atom_site_label
_atom_site_type_symbol
_atom_site_fract_x
_atom_site_fract_y
_atom_site_fract_z
Ga1 Ga 0.078 0.922 0.750
Ga2 Ga 0.922 0.078 0.250
Mo1 Mo 0.312 0.688 0.750
Mo2 Mo 0.688 0.312 0.250
H1 H 0.247 0.753 0.250
H2 H 0.421 0.579 0.750
H3 H 0.579 0.421 0.250
H4 H 0.753 0.247 0.750
```

Largest 10 diffraction maxima, sorted by position, 10 to 90 degrees two-theta:
11.1°, d 7.948, I 30; 32.4°, d 2.759, I 50; 36.7°, d 2.446, I 100; 39.8°, d 2.266, I 62; 40.7°, d 2.217, I 85; 45.7°, d 1.987, I 22; 57.0°, d 1.616, I 15; 67.6°, d 1.387, I 31; 69.7°, d 1.348, I 29; 74.0°, d 1.281, I 19


# 3
Starting from a PBE-relaxed structure, the PXRD pattern of Ga2MoH was calculated for a wavelength of 1.5418 Å.
Intensities are scaled so that the largest is 100.

```
data_Ga2MoH
_chemical_formula_sum 'Ga4 Mo2 H2'
_symmetry_space_group_name_H-M 'P 1'
_symmetry_Int_Tables_number 1
_symmetry_space_group_name_Hall 'P 1'
_cell_length_a 5.272
_cell_length_b 5.272
_cell_length_c 5.272
_cell_angle_alpha 109.23
_cell_angle_beta 104.72
_cell_angle_gamma 114.62
loop_
_atom_site_label
_atom_site_type_symbol
_atom_site_fract_x
_atom_site_fract_y
_atom_site_fract_z
Ga1 Ga 0.000 0.210 0.210
Ga2 Ga 0.000 0.790 0.790
Ga3 Ga 0.500 0.210 0.710
Ga4 Ga 0.500 0.790 0.290
Mo1 Mo 0.439 0.689 0.750
Mo2 Mo 0.561 0.311 0.250
H1 H 0.136 0.386 0.750
H2 H 0.864 0.614 0.250
```

Largest 10 diffraction maxima, sorted by position, 10 to 90 degrees two-theta:
20.8°, d 4.266, I 91; 35.2°, d 2.547, I 33; 36.2°, d 2.483, I 44; 37.6°, d 2.395, I 22; 40.7°, d 2.215, I 100; 42.4°, d 2.133, I 81; 43.5°, d 2.082, I 63; 47.4°, d 1.917, I 24; 57.2°, d 1.610, I 21; 74.5°, d 1.274, I 47


# 4
Starting from a PBE-relaxed structure, the PXRD pattern of GaH2N was calculated for a wavelength of 1.5418 Å.
Intensities are scaled so that the largest is 100.

```
data_GaH2N
_chemical_formula_sum 'Ga1 H2 N1'
_symmetry_space_group_name_H-M 'P 1'
_symmetry_Int_Tables_number 1
_symmetry_space_group_name_Hall 'P 1'
_cell_length_a 2.930
_cell_length_b 4.364
_cell_length_c 3.190
_cell_angle_alpha 90.00
_cell_angle_beta 117.54
_cell_angle_gamma 90.00
loop_
_atom_site_label
_atom_site_type_symbol
_atom_site_fract_x
_atom_site_fract_y
_atom_site_fract_z
Ga1 Ga 0.000 0.000 0.000
H1 H 0.219 0.500 0.480
H2 H 0.626 0.500 0.103
N1 N 0.987 0.500 0.122
```

Largest 10 diffraction maxima, sorted by position, 10 to 90 degrees two-theta:
20.4°, d 4.364, I 78; 31.6°, d 2.829, I 63; 34.5°, d 2.602, I 100; 37.9°, d 2.374, I 46; 40.4°, d 2.235, I 75; 41.4°, d 2.182, I 33; 53.0°, d 1.728, I 27; 54.9°, d 1.672, I 49; 62.2°, d 1.493, I 14; 74.8°, d 1.270, I 12


# 5
Starting from a PBE-relaxed structure, the PXRD pattern of NaGaH8N4 was calculated for a wavelength of 1.5418 Å.
Intensities are scaled so that the largest is 100.

```
data_NaGaH8N4
_chemical_formula_sum 'Na4 Ga4 H32 N16'
_symmetry_space_group_name_H-M 'P 1'
_symmetry_Int_Tables_number 1
_symmetry_space_group_name_Hall 'P 1'
_cell_length_a 7.375
_cell_length_b 6.172
_cell_length_c 14.237
_cell_angle_alpha 90.00
_cell_angle_beta 99.71
_cell_angle_gamma 90.00
loop_
_atom_site_label
_atom_site_type_symbol
_atom_site_fract_x
_atom_site_fract_y
_atom_site_fract_z
Na1 Na 0.208 0.141 0.178
Na2 Na 0.208 0.359 0.678
Na3 Na 0.792 0.641 0.322
Na4 Na 0.792 0.859 0.822
Ga1 Ga 0.284 0.682 0.853
Ga2 Ga 0.284 0.818 0.353
Ga3 Ga 0.716 0.182 0.647
Ga4 Ga 0.716 0.318 0.147
H1 H 0.098 0.703 0.982
H2 H 0.098 0.797 0.482
H3 H 0.100 0.676 0.202
H4 H 0.100 0.824 0.702
H5 H 0.120 0.557 0.441
H6 H 0.120 0.943 0.941
H7 H 0.192 0.192 0.400
H8 H 0.192 0.308 0.900
H9 H 0.317 0.632 0.200
H10 H 0.317 0.868 0.700
H11 H 0.396 0.206 0.371
H12 H 0.396 0.294 0.871
H13 H 0.418 0.188 0.537
H14 H 0.418 0.312 0.037
H15 H 0.470 0.068 0.074
H16 H 0.470 0.432 0.574
H17 H 0.530 0.568 0.426
H18 H 0.530 0.932 0.926
H19 H 0.582 0.688 0.963
H20 H 0.582 0.812 0.463
H21 H 0.604 0.706 0.129
H22 H 0.604 0.794 0.629
H23 H 0.683 0.132 0.300
H24 H 0.683 0.368 0.800
H25 H 0.808 0.692 0.100
H26 H 0.808 0.808 0.600
H27 H 0.880 0.057 0.059
H28 H 0.880 0.443 0.559
H29 H 0.900 0.176 0.298
H30 H 0.900 0.324 0.798
H31 H 0.902 0.203 0.518
H32 H 0.902 0.297 0.018
N1 N 0.091 0.714 0.420
N2 N 0.091 0.786 0.920
N3 N 0.227 0.745 0.219
N4 N 0.227 0.755 0.719
N5 N 0.271 0.133 0.353
N6 N 0.271 0.367 0.853
N7 N 0.467 0.224 0.098
N8 N 0.467 0.276 0.598
N9 N 0.533 0.724 0.402
N10 N 0.533 0.776 0.902
N11 N 0.729 0.633 0.147
N12 N 0.729 0.867 0.647
N13 N 0.773 0.245 0.281
N14 N 0.773 0.255 0.781
N15 N 0.909 0.214 0.080
N16 N 0.909 0.286 0.580
```

Largest 10 diffraction maxima, sorted by position, 10 to 90 degrees two-theta:
12.6°, d 7.017, I 18; 16.0°, d 5.537, I 32; 18.9°, d 4.705, I 32; 19.0°, d 4.670, I 22; 19.2°, d 4.630, I 100; 24.5°, d 3.635, I 25; 25.4°, d 3.508, I 20; 25.6°, d 3.476, I 18; 28.9°, d 3.086, I 18; 38.5°, d 2.336, I 12


# 6
Starting from a PBE-relaxed structure, the PXRD pattern of GaPH4NO5 was calculated for a wavelength of 1.5418 Å.
Intensities are scaled so that the largest is 100.

```
data_GaPH4NO5
_chemical_formula_sum 'Ga2 P2 H8 N2 O10'
_symmetry_space_group_name_H-M 'P 1'
_symmetry_Int_Tables_number 1
_symmetry_space_group_name_Hall 'P 1'
_cell_length_a 4.659
_cell_length_b 6.213
_cell_length_c 8.499
_cell_angle_alpha 90.00
_cell_angle_beta 101.77
_cell_angle_gamma 90.00
loop_
_atom_site_label
_atom_site_type_symbol
_atom_site_fract_x
_atom_site_fract_y
_atom_site_fract_z
Ga1 Ga 0.000 0.000 0.000
Ga2 Ga 0.000 0.500 0.000
P1 P 0.401 0.250 0.795
P2 P 0.599 0.750 0.205
H1 H 0.022 0.250 0.495
H2 H 0.223 0.618 0.650
H3 H 0.223 0.882 0.650
H4 H 0.347 0.750 0.500
H5 H 0.653 0.250 0.500
H6 H 0.777 0.118 0.350
H7 H 0.777 0.382 0.350
H8 H 0.978 0.750 0.505
N1 N 0.192 0.750 0.574
N2 N 0.808 0.250 0.426
O1 O 0.181 0.250 0.127
O2 O 0.252 0.043 0.844
O3 O 0.252 0.457 0.844
O4 O 0.270 0.750 0.111
O5 O 0.383 0.250 0.614
O6 O 0.617 0.750 0.386
O7 O 0.730 0.250 0.889
O8 O 0.748 0.543 0.156
O9 O 0.748 0.957 0.156
O10 O 0.819 0.750 0.873
```

Largest 10 diffraction maxima, sorted by position, 10 to 90 degrees two-theta:
10.6°, d 8.320, I 100; 17.8°, d 4.978, I 12; 24.1°, d 3.695, I 23; 25.9°, d 3.443, I 18; 28.1°, d 3.176, I 7; 30.7°, d 2.910, I 13; 34.9°, d 2.568, I 13; 36.1°, d 2.489, I 6; 37.8°, d 2.378, I 8; 43.5°, d 2.081, I 9